MgFeCo2O6: simulated powder diffractogram (Cu Kα, 1.54184 Å), based on a PBE+U-relaxed structure.

Main lines, low angle first (10° ≤ 2θ ≤ 90°):
2θ (°)  d/Å  I_rel
18.5  4.792  100
34.9  2.573  14
36.2  2.479  13
36.7  2.451  12
37.5  2.395  12
42.0  2.150  30
44.2  2.049  25
44.7  2.027  26
62.4  1.489  8
62.9  1.477  11

Structural model:
Cell lengths 2.982, 5.915, 6.433 Å; angles 103.03, 102.98, 92.76 degrees
Fractional coordinates of all 10 atoms:
1 Mg 0.000 0.000 0.000
2 Fe 0.339 0.213 0.660
3 Co 0.014 0.506 0.028
4 Co 0.661 0.830 0.359
5 O 0.139 0.622 0.339
6 O 0.172 0.039 0.342
7 O 0.494 0.758 0.047
8 O 0.532 0.255 0.002
9 O 0.819 0.967 0.661
10 O 0.888 0.436 0.722

---

CaCeMnO4: simulated powder diffractogram (Cu Kα, 1.54184 Å), based on a PBE+U-relaxed structure.

Main lines, low angle first (10° ≤ 2θ ≤ 90°):
2θ (°)  d/Å  I_rel
19.5  4.563  43
24.1  3.697  18
31.5  2.836  100
33.0  2.716  81
38.6  2.334  17
42.9  2.110  21
44.0  2.058  22
47.3  1.920  37
55.2  1.663  18
58.0  1.590  41

Structural model:
Cell lengths 13.190, 13.190, 13.190 Å; angles 156.24, 156.24, 33.86 degrees
Fractional coordinates of all 28 atoms:
1 Ca 0.176 0.176 0.000
2 Ca 0.574 0.074 0.500
3 Ca 0.824 0.824 0.000
4 Ca 0.926 0.426 0.500
5 Ce 0.071 0.571 0.500
6 Ce 0.321 0.321 0.000
7 Ce 0.429 0.929 0.500
8 Ce 0.679 0.679 0.000
9 Mn 0.000 0.000 0.000
10 Mn 0.250 0.750 0.500
11 Mn 0.500 0.500 0.000
12 Mn 0.750 0.250 0.500
13 O 0.067 0.446 0.010
14 O 0.086 0.086 0.000
15 O 0.159 0.659 0.500
16 O 0.196 0.317 0.510
17 O 0.314 0.804 0.122
18 O 0.341 0.841 0.500
19 O 0.409 0.409 0.000
20 O 0.436 0.057 0.990
21 O 0.554 0.564 0.622
22 O 0.591 0.591 0.000
23 O 0.664 0.164 0.500
24 O 0.683 0.193 0.878
25 O 0.807 0.686 0.490
26 O 0.836 0.336 0.500
27 O 0.914 0.914 0.000
28 O 0.943 0.933 0.378

---

MgMn6O8F4: simulated powder diffractogram (Cu Kα, 1.54184 Å), based on a PBE+U-relaxed structure.

Main lines, low angle first (10° ≤ 2θ ≤ 90°):
2θ (°)  d/Å  I_rel
22.4  3.961  100
28.0  3.189  67
34.9  2.568  16
35.1  2.557  38
35.4  2.537  21
35.8  2.509  32
48.1  1.891  23
48.8  1.868  23
54.0  1.697  18
62.4  1.489  18

Structural model:
Cell lengths 5.879, 5.917, 7.034 Å; angles 73.00, 74.81, 84.41 degrees
Fractional coordinates of all 19 atoms:
1 Mg 0.000 0.000 0.000
2 Mn 0.005 0.510 0.994
3 Mn 0.006 0.497 0.501
4 Mn 0.334 0.835 0.662
5 Mn 0.383 0.795 0.171
6 Mn 0.622 0.207 0.831
7 Mn 0.639 0.178 0.351
8 O 0.004 0.806 0.811
9 O 0.075 0.661 0.195
10 O 0.270 0.692 0.463
11 O 0.372 0.978 0.887
12 O 0.628 0.032 0.118
13 O 0.651 0.878 0.521
14 O 0.721 0.330 0.536
15 O 0.928 0.343 0.809
16 F 0.024 0.189 0.182
17 F 0.270 0.199 0.478
18 F 0.377 0.485 0.868
19 F 0.632 0.500 0.153